Computed powder diffraction line list of La4TlAg2 for CuKα, from the GGA-PBE geometry in Alexandria.

Structural model:
```
data_La4TlAg2
_cell_length_a 5.4202
_cell_length_b 5.4202
_cell_length_c 25.8008
_cell_angle_alpha 90.00
_cell_angle_beta 90.00
_cell_angle_gamma 120.00
_space_group_name_H-M_alt 'R -3 m'
_space_group_IT_number 166
_space_group_name_Hall '-R 3 2"'
loop_
_atom_site_label
_atom_site_type_symbol
_atom_site_fract_x
_atom_site_fract_y
_atom_site_fract_z
La1 La 0.0000 0.0000 0.1140
La2 La 0.0000 0.0000 0.3688
Tl1 Tl 0.0000 0.0000 0.5000
Ag1 Ag 0.0000 0.0000 0.2424
```

Peak list (12 most intense, 2θ from 10° to 90°, most intense first)
2θ = 33.05°, I = 100, hkl 1 1 0; 2θ = 33.72°, I = 81, hkl 0 1 8; 2θ = 59.46°, I = 31, hkl 1 2 8; 2θ = 47.94°, I = 30, hkl 2 0 8; 2θ = 30.84°, I = 24, hkl 1 0 7; 2θ = 59.04°, I = 19, hkl 3 0 0; 2θ = 64.13°, I = 14, hkl 1 1 15; 2θ = 10.29°, I = 14, hkl 0 0 3; 2θ = 79.37°, I = 14, hkl 3 1 8; 2θ = 25.66°, I = 12, hkl 0 1 5; 2θ = 69.35°, I = 11, hkl 2 2 0; 2θ = 19.22°, I = 11, hkl 1 0 1